No. 1
Computed X-ray powder pattern of Tl2VO for Cu Kα (weighted mean of Kα1 and Kα2), from DFT lattice parameters and positions (GGA+U).
Lines closer than 0.1° are merged.

Most intense lines, 2θ = 10–90°, in order of rising 2θ:
Position (°2θ), I_rel, h k l
23.43, 72.3, 2 0 0
30.50, 62.3, 2 1 1
33.37, 49.9, 2 2 0
35.18, 100.0, 1 1 2
38.82, 23.7, 3 0 1
45.84, 31.6, 3 2 1
49.27, 40.0, 3 1 2
52.10, 20.3, 4 1 1
63.30, 25.6, 4 3 1
65.55, 15.2, 3 2 3
68.47, 13.3, 5 2 1
69.40, 16.1, 2 0 4

Crystal structure
a = 7.5941 Å, b = 7.5941 Å, c = 5.7983 Å
α = 90.00°, β = 90.00°, γ = 90.00°
Space group I-42d (No. 122)
Inequivalent atoms, fractional coordinates:
Tl (0.1873, 0.2500, 0.1250) x8
V (0.0000, 0.0000, 0.5000) x4
O (0.0000, 0.0000, 0.0000) x4

No. 2
Computed X-ray powder pattern of TlV5O8 for Cu Kα (weighted mean of Kα1 and Kα2), from DFT lattice parameters and positions (GGA+U).
Lines closer than 0.1° are merged.

Most intense lines, 2θ = 10–90°, in order of rising 2θ:
Position (°2θ), I_rel, h k l
11.99, 48.3, 2 0 0
23.78, 100.0, 4 0 -1
24.12, 45.2, 4 0 0
24.34, 82.9, 0 0 2
29.18, 56.7, 4 0 -2
29.49, 58.1, 1 1 0
30.16, 69.2, 2 0 2
32.64, 58.5, 1 1 1
34.61, 80.6, 3 1 -1
38.18, 78.2, 3 1 1
39.72, 53.8, 1 1 2
46.98, 55.7, 3 1 -3

Crystal structure
a = 15.3747 Å, b = 3.0948 Å, c = 7.6168 Å
α = 90.00°, β = 106.25°, γ = 90.00°
Space group C2/m (No. 12)
Inequivalent atoms, fractional coordinates:
Tl (0.0000, 0.0000, 0.0000) x2
V (0.0000, 0.5000, 0.5000) x2
V (0.1575, 0.0000, 0.4474) x4
V (0.2032, 0.0000, 0.8340) x4
O (0.0819, 0.0000, 0.6302) x4
O (0.0823, 0.5000, 0.3297) x4
O (0.1764, 0.5000, 0.9787) x4
O (0.2329, 0.5000, 0.6464) x4

No. 3
Computed X-ray powder pattern of Tl2V2O5 for Cu Kα (weighted mean of Kα1 and Kα2), from DFT lattice parameters and positions (GGA+U).
Lines closer than 0.1° are merged.

Most intense lines, 2θ = 10–90°, in order of rising 2θ:
Position (°2θ), I_rel, h k l
22.61, 43.6, 2 0 1
24.15, 39.4, 1 1 0
27.95, 53.6, 2 0 -2
28.22, 100.0, 1 1 1
32.67, 26.9, 4 0 0
32.80, 23.2, 4 0 -1
34.30, 53.3, 3 1 -1
34.58, 31.5, 1 1 -2
37.81, 20.3, 3 1 1
39.43, 19.7, 0 0 3
45.87, 19.7, 3 1 2
46.42, 20.0, 0 2 0

Crystal structure
a = 11.1670 Å, b = 3.9121 Å, c = 6.9836 Å
α = 90.00°, β = 100.96°, γ = 90.00°
Space group C2/m (No. 12)
Inequivalent atoms, fractional coordinates:
Tl (0.0968, 0.0000, 0.3317) x4
V (0.1501, 0.5000, 0.9039) x4
O (0.0000, 0.5000, 0.0000) x2
O (0.1356, 0.5000, 0.6569) x4
O (0.1780, 0.0000, 0.9711) x4

No. 4
Computed X-ray powder pattern of TlV4O10 for Cu Kα (weighted mean of Kα1 and Kα2), from DFT lattice parameters and positions (GGA+U).
Lines closer than 0.1° are merged.

Most intense lines, 2θ = 10–90°, in order of rising 2θ:
Position (°2θ), I_rel, h k l
15.35, 36.9, 2 0 0
16.29, 53.6, 2 0 -1
19.19, 79.7, 2 0 1
21.40, 64.5, 2 0 -2
26.29, 43.1, 1 1 -1
27.08, 73.3, 0 0 3
27.27, 86.3, 1 1 1
30.24, 63.0, 1 1 -2
32.91, 33.6, 4 0 -2
33.56, 100.0, 3 1 -1
33.92, 35.8, 4 0 1
46.34, 32.6, 6 0 -1

Crystal structure
a = 11.7502 Å, b = 3.7141 Å, c = 10.0531 Å
α = 90.00°, β = 100.66°, γ = 90.00°
Space group C2/m (No. 12)
Inequivalent atoms, fractional coordinates:
Tl (0.0000, 0.0000, 0.0000) x2
V (0.0887, 0.5000, 0.6543) x4
V (0.2060, 0.5000, 0.3408) x4
O (0.0653, 0.5000, 0.4063) x4
O (0.0979, 0.5000, 0.8187) x4
O (0.1212, 0.0000, 0.6286) x4
O (0.1591, 0.5000, 0.1773) x4
O (0.2421, 0.0000, 0.3833) x4

No. 5
Computed X-ray powder pattern of YTlVO4 for Cu Kα (weighted mean of Kα1 and Kα2), from DFT lattice parameters and positions (GGA+U).
Lines closer than 0.1° are merged.

Most intense lines, 2θ = 10–90°, in order of rising 2θ:
Position (°2θ), I_rel, h k l
21.29, 100.0, 1 1 0
21.66, 38.1, 1 0 1
22.55, 32.5, 1 1 -1
25.19, 21.4, 1 0 -2
28.60, 71.1, 0 1 2
29.40, 22.8, 1 1 -2
30.07, 50.8, 0 2 0
30.51, 21.0, 2 0 0
37.33, 46.0, 2 1 -2
38.95, 29.4, 2 1 1
39.62, 21.7, 1 2 -2
43.37, 22.2, 2 2 0

Crystal structure
a = 6.0548 Å, b = 5.9428 Å, c = 7.5801 Å
α = 90.00°, β = 104.57°, γ = 90.00°
Space group P2_1/m (No. 11)
Inequivalent atoms, fractional coordinates:
Y (0.1766, 0.2500, 0.0541) x2
Tl (0.2818, 0.2500, 0.5898) x2
V (0.3029, 0.7500, 0.8571) x2
O (0.0770, 0.5251, 0.8438) x4
O (0.4867, 0.7500, 0.0759) x2
O (0.4880, 0.7500, 0.7075) x2

No. 6
Computed X-ray powder pattern of TlV2Zn2O7 for Cu Kα (weighted mean of Kα1 and Kα2), from DFT lattice parameters and positions (GGA+U).
Lines closer than 0.1° are merged.

Most intense lines, 2θ = 10–90°, in order of rising 2θ:
Position (°2θ), I_rel, h k l
10.66, 55.6, 0 0 3
19.08, 17.9, 0 1 2
22.77, 72.0, 1 0 4
25.20, 26.1, 0 1 5
30.86, 100.0, 1 1 0
32.77, 17.4, 1 1 3
33.90, 17.7, 0 1 8
38.72, 18.5, 0 2 4
44.20, 10.7, 0 2 7
50.34, 18.9, 2 1 4
54.40, 16.7, 1 1 12
54.92, 30.6, 3 0 0

Crystal structure
a = 5.7890 Å, b = 5.7890 Å, c = 24.9036 Å
α = 90.00°, β = 90.00°, γ = 120.00°
Space group R32 (No. 155, hexagonal axes)
Inequivalent atoms, fractional coordinates:
Tl (0.0000, 0.0000, 0.0000) x3
V (0.0000, 0.0000, 0.4277) x6
Zn (0.0000, 0.0000, 0.2603) x6
O (0.0000, 0.0000, 0.5000) x3
O (0.0238, 0.4087, 0.0703) x18